Computed PXRD pattern of PrRu2O8 for Cu Kα (weighted mean of Kα1 and Kα2), from a DFT-relaxed cell (GGA-PBE, Alexandria).
Intensities are scaled so that the largest is 100.

The 10 most intense peaks (2θ = 5–70°), sorted by position:
2theta	I (rel.)	hkl
15.74	52	1 1 1
18.19	10	2 0 0
25.84	100	2 2 0
30.40	9	3 1 1
36.86	8	4 0 0
40.31	21	3 3 1
45.57	39	4 2 2
53.12	20	4 4 0
55.76	8	5 3 1
59.99	16	6 2 0

Structural model:
```
data_PrRu2O8
_chemical_formula_sum 'Pr4 Ru8 O32'
_cell_length_a 9.7529
_cell_length_b 9.7529
_cell_length_c 9.7529
_cell_angle_alpha 90.00
_cell_angle_beta 90.00
_cell_angle_gamma 90.00
_symmetry_space_group_name_H-M 'F m -3 m'
_symmetry_Int_Tables_number 225
_symmetry_space_group_name_Hall '-F 4 2 3'
loop_
_atom_site_label
_atom_site_fract_x
_atom_site_fract_y
_atom_site_fract_z
_atom_site_occupancy
Pr1 0.0000 0.0000 0.0000 1
Ru1 0.2500 0.2500 0.2500 1
O1 0.1456 0.1456 0.1456 1
```


Computed PXRD pattern of Pr2AlGa6Pd for Cu Kα (weighted mean of Kα1 and Kα2), from a DFT-relaxed cell (GGA-PBE, Alexandria).
Intensities are scaled so that the largest is 100.

The 10 most intense peaks (2θ = 5–70°), sorted by position:
2theta	I (rel.)	hkl
27.77	69	1 1 0
29.95	62	1 0 10
30.34	28	0 0 12
32.17	32	0 1 11
34.65	100	2 0 5
36.89	79	0 2 7
41.30	39	0 2 10
44.98	23	1 2 5
54.77	47	1 1 18
57.37	39	2 2 0

Structural model:
```
data_Pr2AlGa6Pd
_chemical_formula_sum 'Pr12 Al6 Ga36 Pd6'
_cell_length_a 6.4242
_cell_length_b 6.4242
_cell_length_c 35.3508
_cell_angle_alpha 90.00
_cell_angle_beta 90.00
_cell_angle_gamma 120.00
_symmetry_space_group_name_H-M 'R -3 m'
_symmetry_Int_Tables_number 166
_symmetry_space_group_name_Hall '-R 3 2"'
loop_
_atom_site_label
_atom_site_fract_x
_atom_site_fract_y
_atom_site_fract_z
_atom_site_occupancy
Pr1 0.0000 0.0000 0.1080 1
Pr2 0.0000 0.0000 0.2845 1
Al1 0.0000 0.0000 0.4276 1
Ga1 0.0521 0.5260 0.2977 1
Ga2 0.0723 0.5362 0.8659 1
Pd1 0.0000 0.0000 0.0000 1
Pd2 0.0000 0.0000 0.5000 1
```